Structure and computed X-ray powder pattern of Dy4Al2O9 (a DFT-relaxed cell (PBE, the Materials Project); a wavelength of 1.5418 Å).
Neutral-atom scattering factors, no anomalous dispersion.

a b c (Å): 7.450 10.592 11.193
angles (deg): 90.00 108.66 90.00
Space group P2_1/c (No. 14)
Symmetry-distinct sites (fractional):
1 Dy 0.023 0.092 0.307 x4
2 Dy 0.163 0.622 0.587 x4
3 Dy 0.337 0.124 0.934 x4
4 Dy 0.477 0.606 0.215 x4
5 Al 0.218 0.186 0.628 x4
6 Al 0.346 0.683 0.886 x4
7 O 0.071 0.234 0.480 x4
8 O 0.077 0.506 0.394 x4
9 O 0.212 0.730 0.253 x4
10 O 0.216 0.024 0.661 x4
11 O 0.233 0.232 0.270 x4
12 O 0.301 0.526 0.832 x4
13 O 0.361 0.729 0.039 x4
14 O 0.433 0.245 0.615 x4
15 O 0.434 0.509 0.605 x4

Largest 10 diffraction maxima, by angle, 10 to 90 degrees two-theta:
d [Å]	Rel. int.	index
7.494	25.6	0 1 1
4.741	41.3	0 1 2
3.352	24.3	0 1 3
3.046	100.0	2 2 -1
2.941	99.3	0 2 3
2.079	16.7	0 1 5
1.862	16.8	4 0 -2
1.848	16.8	2 4 2
1.835	16.6	2 4 -4
1.581	17.3	4 2 1